No. 1
Structure and computed X-ray diffraction stick pattern of MgPa2Ge3Ir6 (a cell relaxed with GGA-PBE; Cu Kα (weighted mean of Kα1 and Kα2)).
Intensities are scaled so that the largest is 100.

Crystal structure
abc: 4.0022 4.0022 15.7525
angles: 90.00 90.00 90.00
Space group P4/mmm (No. 123)
Unique sites:
Mg1 0.0000 0.0000 0.0000 (multiplicity 1)
Pa1 0.0000 0.0000 0.2752 (multiplicity 2)
Ge1 0.5000 0.5000 0.1975 (multiplicity 2)
Ge2 0.5000 0.5000 0.5000 (multiplicity 1)
Ir1 0.0000 0.5000 0.1150 (multiplicity 4)
Ir2 0.5000 0.5000 0.3496 (multiplicity 2)

Most intense lines, 2θ = 10–90°, in order of rising 2θ:
2θ 11.23, intensity 84, hkl 0 0 2
2θ 28.33, intensity 38, hkl 0 0 5
2θ 31.88, intensity 46, hkl 1 0 4
2θ 32.14, intensity 100, hkl 1 1 1
2θ 33.65, intensity 52, hkl 1 1 2
2θ 36.05, intensity 66, hkl 1 1 3
2θ 39.20, intensity 69, hkl 1 1 4
2θ 41.12, intensity 32, hkl 1 0 6
2θ 45.32, intensity 89, hkl 2 0 0
2θ 46.28, intensity 47, hkl 1 0 7
2θ 66.03, intensity 29, hkl 2 2 0
2θ 66.78, intensity 32, hkl 2 1 7


No. 2
Structure and computed X-ray diffraction stick pattern of MgGeIrS2 (a cell relaxed with GGA-PBE; Cu Kα (weighted mean of Kα1 and Kα2)).
Intensities are scaled so that the largest is 100.

Crystal structure
abc: 4.6924 4.6924 4.8928
angles: 90.00 90.00 90.00
Space group P4/mmm (No. 123)
Unique sites:
Mg1 0.0000 0.0000 0.0000 (multiplicity 1)
Ge1 0.0000 0.0000 0.5000 (multiplicity 1)
Ir1 0.5000 0.5000 0.0000 (multiplicity 1)
S1 0.0000 0.5000 0.5000 (multiplicity 2)

Most intense lines, 2θ = 10–90°, in order of rising 2θ:
2θ 18.91, intensity 14, hkl 1 0 0
2θ 26.32, intensity 100, hkl 1 0 1
2θ 26.87, intensity 41, hkl 1 1 0
2θ 32.61, intensity 43, hkl 1 1 1
2θ 36.74, intensity 23, hkl 0 0 2
2θ 38.37, intensity 41, hkl 2 0 0
2θ 46.10, intensity 20, hkl 1 1 2
2θ 47.12, intensity 42, hkl 2 1 1
2θ 54.16, intensity 30, hkl 2 0 2
2θ 55.38, intensity 14, hkl 2 2 0
2θ 68.31, intensity 15, hkl 2 2 2
2θ 73.55, intensity 11, hkl 2 1 3


No. 3
Structure and computed X-ray diffraction stick pattern of Th2MgGe4Ir3 (a cell relaxed with GGA-PBE; Cu Kα (weighted mean of Kα1 and Kα2)).
Intensities are scaled so that the largest is 100.

Crystal structure
abc: 4.2760 4.2760 10.5391
angles: 90.00 90.00 90.00
Space group P-4m2 (No. 115)
Unique sites:
Th1 0.0000 0.5000 0.2405 (multiplicity 2)
Mg1 0.0000 0.0000 0.5000 (multiplicity 1)
Ge1 0.0000 0.0000 0.0000 (multiplicity 1)
Ge2 0.0000 0.5000 0.6432 (multiplicity 2)
Ge3 0.5000 0.5000 0.0000 (multiplicity 1)
Ir1 0.0000 0.5000 0.8767 (multiplicity 2)
Ir2 0.5000 0.5000 0.5000 (multiplicity 1)

Most intense lines, 2θ = 10–90°, in order of rising 2θ:
2θ 26.85, intensity 15, hkl 1 0 2
2θ 29.54, intensity 39, hkl 1 1 0
2θ 33.00, intensity 100, hkl 1 0 3
2θ 34.19, intensity 100, hkl 1 1 2
2θ 42.27, intensity 72, hkl 2 0 0
2θ 48.13, intensity 40, hkl 1 0 5
2θ 54.64, intensity 49, hkl 2 1 3
2θ 61.01, intensity 14, hkl 1 1 6
2θ 61.32, intensity 24, hkl 2 2 0
2θ 65.96, intensity 31, hkl 2 1 5
2θ 72.11, intensity 25, hkl 3 1 2
2θ 86.84, intensity 16, hkl 2 0 8


No. 4
Structure and computed X-ray diffraction stick pattern of MnGe2Ir (a cell relaxed with GGA-PBE; Cu Kα (weighted mean of Kα1 and Kα2)).
Intensities are scaled so that the largest is 100.

Crystal structure
abc: 4.8840 4.8526 4.8942
angles: 90.00 90.26 90.00
Space group P2_1 (No. 4)
Unique sites:
Mn1 0.1138 0.0000 0.1310 (multiplicity 2)
Ge1 0.0916 0.4755 0.3237 (multiplicity 2)
Ge2 0.4055 0.2906 0.8459 (multiplicity 2)
Ir1 0.3746 0.7607 0.6347 (multiplicity 2)

Most intense lines, 2θ = 10–90°, in order of rising 2θ:
2θ 18.15, intensity 34, hkl 1 0 0
2θ 25.86, intensity 52, hkl 1 0 1
2θ 31.75, intensity 41, hkl 1 1 -1
2θ 41.24, intensity 34, hkl 2 0 -1
2θ 41.35, intensity 100, hkl 0 1 2
2θ 41.56, intensity 59, hkl 1 2 0
2θ 45.43, intensity 33, hkl 1 1 -2
2θ 45.59, intensity 48, hkl 1 1 2
2θ 45.72, intensity 29, hkl 1 2 1
2θ 72.18, intensity 12, hkl 2 1 -3
2θ 72.44, intensity 16, hkl 3 2 -1
2θ 72.76, intensity 12, hkl 1 3 2


No. 5
Structure and computed X-ray diffraction stick pattern of MnGe2Ir (a cell relaxed with GGA-PBE; Cu Kα (weighted mean of Kα1 and Kα2)).
Intensities are scaled so that the largest is 100.

Crystal structure
abc: 4.7434 4.8027 5.2952
angles: 90.98 90.60 102.81
Space group P1 (No. 1)
Unique sites:
Mn1 0.0000 0.0000 0.0000 (multiplicity 1)
Mn2 0.0964 0.5437 0.3162 (multiplicity 1)
Ge1 0.0762 0.4969 0.8267 (multiplicity 1)
Ge2 0.4950 0.9073 0.1517 (multiplicity 1)
Ge3 0.5851 0.4271 0.4902 (multiplicity 1)
Ge4 0.9904 0.0258 0.4841 (multiplicity 1)
Ir1 0.4583 0.9008 0.6564 (multiplicity 1)
Ir2 0.5714 0.4070 0.9964 (multiplicity 1)

Most intense lines, 2θ = 10–90°, in order of rising 2θ:
2θ 19.19, intensity 50, hkl 1 0 0
2θ 25.65, intensity 20, hkl 0 1 1
2θ 38.45, intensity 58, hkl 0 2 0
2θ 38.95, intensity 59, hkl 2 0 0
2θ 39.08, intensity 33, hkl 1 -2 0
2θ 39.45, intensity 100, hkl 1 0 2
2θ 41.76, intensity 30, hkl 1 -1 2
2θ 41.93, intensity 39, hkl -1 1 2
2θ 45.34, intensity 52, hkl 1 1 -2
2θ 47.25, intensity 22, hkl 1 2 0
2θ 48.83, intensity 23, hkl 2 -2 0
2θ 52.78, intensity 28, hkl -2 1 2


No. 6
Structure and computed X-ray diffraction stick pattern of MnGeIr3 (a cell relaxed with GGA-PBE; Cu Kα (weighted mean of Kα1 and Kα2)).
Intensities are scaled so that the largest is 100.

Crystal structure
abc: 4.4905 4.4905 4.4905
angles: 90.00 90.00 90.00
Space group Pm-3m (No. 221)
Unique sites:
Mn1 0.0000 0.0000 0.0000 (multiplicity 1)
Ge1 0.5000 0.5000 0.5000 (multiplicity 1)
Ir1 0.0000 0.0000 0.5000 (multiplicity 3)

Most intense lines, 2θ = 10–90°, in order of rising 2θ:
2θ 19.77, intensity 26, hkl 1 0 0
2θ 28.10, intensity 2, hkl 1 1 0
2θ 34.60, intensity 100, hkl 1 1 1
2θ 40.16, intensity 71, hkl 2 0 0
2θ 45.15, intensity 12, hkl 2 1 0
2θ 49.74, intensity 1, hkl 2 1 1
2θ 58.10, intensity 48, hkl 2 2 0
2θ 62.00, intensity 6, hkl 3 0 0
2θ 69.42, intensity 41, hkl 3 1 1
2θ 72.98, intensity 16, hkl 2 2 2
2θ 76.49, intensity 3, hkl 3 2 0
2θ 86.74, intensity 8, hkl 4 0 0


No. 7
Structure and computed X-ray diffraction stick pattern of GePIrN (a cell relaxed with GGA-PBE; Cu Kα (weighted mean of Kα1 and Kα2)).
Intensities are scaled so that the largest is 100.

Crystal structure
abc: 3.0052 3.6175 5.8981
angles: 83.94 85.94 66.82
Space group P1 (No. 1)
Unique sites:
Ge1 0.0000 0.0000 0.0000 (multiplicity 1)
P1 0.4645 0.9328 0.4896 (multiplicity 1)
Ir1 0.1341 0.5156 0.6929 (multiplicity 1)
N1 0.4964 0.9536 0.2074 (multiplicity 1)

Most intense lines, 2θ = 10–90°, in order of rising 2θ:
2θ 15.11, intensity 100, hkl 0 0 1
2θ 29.83, intensity 43, hkl 0 1 1
2θ 30.50, intensity 14, hkl 0 0 2
2θ 32.14, intensity 30, hkl 0 1 -1
2θ 32.43, intensity 29, hkl 1 0 0
2θ 33.18, intensity 13, hkl 1 1 0
2θ 35.49, intensity 35, hkl 1 0 1
2θ 38.06, intensity 34, hkl 1 1 -1
2θ 39.28, intensity 28, hkl 0 1 2
2θ 42.89, intensity 19, hkl 0 1 -2
2θ 43.22, intensity 18, hkl 1 1 2
2θ 52.72, intensity 12, hkl -1 1 1


No. 8
Structure and computed X-ray diffraction stick pattern of GePIrN (a cell relaxed with GGA-PBE; Cu Kα (weighted mean of Kα1 and Kα2)).
Intensities are scaled so that the largest is 100.

Crystal structure
abc: 2.7821 3.5597 5.8009
angles: 90.00 90.00 90.00
Space group Pmm2 (No. 25)
Unique sites:
Ge1 0.0000 0.0000 0.0000 (multiplicity 1)
P1 0.5000 0.0000 0.5153 (multiplicity 1)
Ir1 0.5000 0.5000 0.7792 (multiplicity 1)
N1 0.0000 0.0000 0.3367 (multiplicity 1)

Most intense lines, 2θ = 10–90°, in order of rising 2θ:
2θ 15.27, intensity 100, hkl 0 0 1
2θ 29.44, intensity 46, hkl 0 1 1
2θ 35.80, intensity 32, hkl 1 0 1
2θ 40.10, intensity 42, hkl 0 1 2
2θ 41.18, intensity 30, hkl 1 1 0
2θ 44.17, intensity 38, hkl 1 1 1
2θ 45.16, intensity 19, hkl 1 0 2
2θ 51.33, intensity 12, hkl 0 2 0
2θ 52.31, intensity 13, hkl 1 1 2
2θ 53.93, intensity 20, hkl 0 1 3
2θ 58.09, intensity 12, hkl 1 0 3
2θ 64.20, intensity 24, hkl 0 0 4


No. 9
Structure and computed X-ray diffraction stick pattern of Na2Ge4Ir3 (a cell relaxed with GGA-PBE; Cu Kα (weighted mean of Kα1 and Kα2)).
Intensities are scaled so that the largest is 100.

Crystal structure
abc: 5.6696 9.7495 12.3331
angles: 90.00 90.00 90.00
Space group Fmmm (No. 69)
Unique sites:
Na1 0.0000 0.0000 0.1192 (multiplicity 8)
Ge1 0.0000 0.1712 0.3442 (multiplicity 16)
Ir1 0.0000 0.0000 0.5000 (multiplicity 4)
Ir2 0.2500 0.2500 0.0000 (multiplicity 8)

Most intense lines, 2θ = 10–90°, in order of rising 2θ:
2θ 14.36, intensity 100, hkl 0 0 2
2θ 18.20, intensity 27, hkl 0 2 0
2θ 19.49, intensity 53, hkl 1 1 1
2θ 36.67, intensity 20, hkl 2 2 0
2θ 38.73, intensity 46, hkl 1 3 3
2θ 39.57, intensity 66, hkl 2 2 2
2θ 39.77, intensity 31, hkl 0 4 2
2θ 44.05, intensity 21, hkl 0 0 6
2θ 47.39, intensity 40, hkl 2 2 4
2θ 47.55, intensity 18, hkl 0 4 4
2θ 66.30, intensity 15, hkl 2 6 0
2θ 83.07, intensity 13, hkl 2 6 6


No. 10
Structure and computed X-ray diffraction stick pattern of NaGe2IrRu (a cell relaxed with GGA-PBE; Cu Kα (weighted mean of Kα1 and Kα2)).
Intensities are scaled so that the largest is 100.

Crystal structure
abc: 4.2320 4.2320 10.1014
angles: 90.00 90.00 90.00
Space group I-4m2 (No. 119)
Unique sites:
Na1 0.0000 0.0000 0.0000 (multiplicity 2)
Ge1 0.0000 0.0000 0.3718 (multiplicity 4)
Ir1 0.0000 0.5000 0.2500 (multiplicity 2)
Ru1 0.0000 0.5000 0.7500 (multiplicity 2)

Most intense lines, 2θ = 10–90°, in order of rising 2θ:
2θ 17.56, intensity 100, hkl 0 0 2
2θ 22.78, intensity 39, hkl 1 0 1
2θ 34.03, intensity 27, hkl 1 0 3
2θ 34.85, intensity 95, hkl 1 1 2
2θ 42.73, intensity 61, hkl 2 0 0
2θ 46.53, intensity 33, hkl 2 0 2
2θ 47.09, intensity 74, hkl 1 1 4
2θ 55.71, intensity 13, hkl 2 1 3
2θ 62.03, intensity 20, hkl 2 2 0
2θ 63.39, intensity 19, hkl 1 1 6
2θ 73.16, intensity 22, hkl 3 1 2
2θ 81.38, intensity 30, hkl 3 1 4


No. 11
Structure and computed X-ray diffraction stick pattern of Pu2NbGe4Ir3 (a cell relaxed with GGA-PBE; Cu Kα (weighted mean of Kα1 and Kα2)).
Intensities are scaled so that the largest is 100.

Crystal structure
abc: 4.1743 4.1743 10.8079
angles: 90.00 90.00 90.00
Space group P-4m2 (No. 115)
Unique sites:
Pu1 0.0000 0.5000 0.2448 (multiplicity 2)
Nb1 0.0000 0.0000 0.5000 (multiplicity 1)
Ge1 0.0000 0.0000 0.0000 (multiplicity 1)
Ge2 0.0000 0.5000 0.6473 (multiplicity 2)
Ge3 0.5000 0.5000 0.0000 (multiplicity 1)
Ir1 0.0000 0.5000 0.8745 (multiplicity 2)
Ir2 0.5000 0.5000 0.5000 (multiplicity 1)

Most intense lines, 2θ = 10–90°, in order of rising 2θ:
2θ 30.28, intensity 25, hkl 1 1 0
2θ 31.42, intensity 15, hkl 1 1 1
2θ 32.84, intensity 80, hkl 1 0 3
2θ 34.63, intensity 100, hkl 1 1 2
2θ 43.35, intensity 62, hkl 2 0 0
2θ 47.36, intensity 37, hkl 1 0 5
2θ 55.43, intensity 37, hkl 2 1 3
2θ 60.19, intensity 15, hkl 1 1 6
2θ 62.98, intensity 21, hkl 2 2 0
2θ 66.14, intensity 28, hkl 2 1 5
2θ 73.91, intensity 23, hkl 3 1 2
2θ 85.65, intensity 16, hkl 2 0 8


No. 12
Structure and computed X-ray diffraction stick pattern of NdGe12Ir4 (a cell relaxed with GGA-PBE; Cu Kα (weighted mean of Kα1 and Kα2)).
Intensities are scaled so that the largest is 100.

Crystal structure
abc: 8.6936 8.6936 8.6936
angles: 90.00 90.00 90.00
Space group Im-3 (No. 204)
Unique sites:
Nd1 0.0000 0.0000 0.0000 (multiplicity 2)
Ge1 0.0000 0.3490 0.1532 (multiplicity 24)
Ir1 0.2500 0.2500 0.2500 (multiplicity 8)

Most intense lines, 2θ = 10–90°, in order of rising 2θ:
2θ 20.43, intensity 57, hkl 2 0 0
2θ 29.05, intensity 100, hkl 2 2 0
2θ 32.57, intensity 88, hkl 3 0 1
2θ 35.78, intensity 19, hkl 2 2 2
2θ 38.76, intensity 42, hkl 3 1 2
2θ 41.55, intensity 19, hkl 4 0 0
2θ 46.73, intensity 78, hkl 4 0 2
2θ 51.50, intensity 92, hkl 4 2 2
2θ 53.77, intensity 33, hkl 4 3 1
2θ 68.23, intensity 32, hkl 6 2 0
2θ 75.81, intensity 17, hkl 4 4 4
2θ 83.15, intensity 20, hkl 6 4 2